1.
Computed powder diffraction line list of KPO2F2 for copper Kα, from DFT lattice parameters and positions (GGA-PBE).
Neutral-atom scattering factors, no anomalous dispersion.

Peak list (8 most intense, 10° ≤ 2θ ≤ 80°, by angle)
2θ/deg	d_spacing	I/Imax	(hkl)
18.2	4.877	26	0 1 1
25.3	3.526	40	1 0 2
26.0	3.428	100	2 1 0
28.4	3.139	25	2 1 1
28.6	3.122	60	0 2 0
29.1	3.070	91	1 1 2
34.8	2.577	42	2 1 2
38.5	2.337	45	1 2 2

Structure:
```
data_KPO2F2
_chemical_formula_sum 'K4 P4 O8 F8'
_space_group_name_H-M_alt 'P n m a'
_space_group_IT_number 62
_space_group_name_Hall '-P 2ac 2n'
_cell_length_a 8.2012
_cell_length_b 6.2439
_cell_length_c 7.8105
_cell_angle_alpha 90.00
_cell_angle_beta 90.00
_cell_angle_gamma 90.00
loop_
_atom_site_label
_atom_site_fract_x
_atom_site_fract_y
_atom_site_fract_z
K1 0.1519 0.2500 0.1445
P1 0.0891 0.2500 0.6954
O1 0.0948 0.0405 0.7860
F1 0.0635 0.7500 0.4323
F2 0.2268 0.2500 0.5504
```

***

2.
Computed powder diffraction line list of K3PO3F2 for copper Kα, from DFT lattice parameters and positions (GGA-PBE).
Neutral-atom scattering factors, no anomalous dispersion.

Peak list (8 most intense, 10° ≤ 2θ ≤ 80°, by angle)
2θ/deg	d_spacing	I/Imax	(hkl)
28.9	3.091	100	2 2 2
31.8	2.815	30	0 4 0
33.7	2.663	26	4 0 0
34.9	2.568	19	0 0 4
35.9	2.502	37	3 3 1
36.5	2.461	40	1 3 3
38.9	2.314	15	2 0 4
47.0	1.935	16	4 4 0

Structure:
```
data_K3PO3F2
_chemical_formula_sum 'K24 P8 O24 F16'
_space_group_name_H-M_alt 'F m m 2'
_space_group_IT_number 42
_space_group_name_Hall 'F 2 -2'
_cell_length_a 10.6533
_cell_length_b 11.2595
_cell_length_c 10.2737
_cell_angle_alpha 90.00
_cell_angle_beta 90.00
_cell_angle_gamma 90.00
loop_
_atom_site_label
_atom_site_fract_x
_atom_site_fract_y
_atom_site_fract_z
K1 0.0000 0.0000 0.0000
K2 0.0000 0.0000 0.3715
K3 0.1974 0.0000 0.6990
K4 0.2500 0.2500 0.4375
P1 0.0000 0.2448 0.1989
O1 0.0000 0.1567 0.8000
O2 0.1196 0.1716 0.1892
F1 0.0000 0.1768 0.5587
F2 0.2380 0.0000 0.4467
```